Record 1
Calculated powder X-ray diffraction pattern
Compound: LiAc2ZnRh6
Radiation: Cu Kα (weighted mean of Kα1 and Kα2)
Structure: the GGA-PBE geometry in Alexandria

Most intense lines, 2θ from 10° to 90°, low angle first:
2theta	I (rel.)	index
27.71	21	2 0 0
34.12	100	2 2 0
39.60	66	0 4 0
57.19	22	4 0 0
57.27	15	4 4 -2
68.29	19	2 6 0
68.38	13	2 6 -2
71.74	7	4 4 0

Atomic structure:
```
data_LiAc2ZnRh6
_chemical_formula_sum 'Li2 Ac4 Zn2 Rh12'
_symmetry_space_group_name_H-M 'C 1 2/m 1'
_symmetry_Int_Tables_number 12
_symmetry_space_group_name_Hall '-C 2y'
_cell_length_a 9.095
_cell_length_b 9.106
_cell_length_c 6.424
_cell_angle_alpha 90.00
_cell_angle_beta 134.84
_cell_angle_gamma 90.00
loop_
_atom_site_label
_atom_site_type_symbol
_atom_site_fract_x
_atom_site_fract_y
_atom_site_fract_z
Li1 Li 0.000 0.000 0.000
Ac1 Ac 0.000 0.250 0.500
Zn1 Zn 0.000 0.500 0.000
Rh1 Rh 0.000 0.238 0.000
Rh2 Rh 0.238 0.000 0.000
Rh3 Rh 0.238 0.000 0.475
```


Record 2
Calculated powder X-ray diffraction pattern
Compound: LiAc3Zn6Ru2
Radiation: Cu Kα (weighted mean of Kα1 and Kα2)
Structure: the GGA-PBE geometry in Alexandria

Most intense lines, 2θ from 10° to 90°, low angle first:
2theta	I (rel.)	index
27.98	70	1 0 2
28.70	100	1 1 0
30.89	76	1 1 1
35.20	61	0 2 1
37.98	83	0 1 3
40.51	45	2 0 2
57.15	53	1 2 3
59.44	31	2 2 0

Atomic structure:
```
data_LiAc3Zn6Ru2
_chemical_formula_sum 'Li1 Ac3 Zn6 Ru2'
_symmetry_space_group_name_H-M 'P -3 m 1'
_symmetry_Int_Tables_number 164
_symmetry_space_group_name_Hall '-P 3 2"'
_cell_length_a 6.2201
_cell_length_b 6.2201
_cell_length_c 7.9149
_cell_angle_alpha 90.00
_cell_angle_beta 90.00
_cell_angle_gamma 120.00
loop_
_atom_site_label
_atom_site_type_symbol
_atom_site_fract_x
_atom_site_fract_y
_atom_site_fract_z
Li1 Li 0.0000 0.0000 0.0000
Ac1 Ac 0.0000 0.0000 0.5000
Ac2 Ac 0.3333 0.6667 0.2758
Zn1 Zn 0.1928 0.3856 0.8740
Ru1 Ru 0.3333 0.6667 0.6168
```


Record 3
Calculated powder X-ray diffraction pattern
Compound: LiAc2SnS4
Radiation: Cu Kα (weighted mean of Kα1 and Kα2)
Structure: the GGA-PBE geometry in Alexandria

Most intense lines, 2θ from 10° to 90°, low angle first:
2theta	I (rel.)	index
14.18	54	1 0 0
23.61	36	0 1 1
25.05	58	1 1 -1
25.17	29	0 0 2
30.03	100	1 1 1
30.27	49	2 0 -2
40.86	43	1 1 -3
45.36	48	2 0 2

Atomic structure:
```
data_LiAc2SnS4
_chemical_formula_sum 'Li1 Ac2 Sn1 S4'
_symmetry_space_group_name_H-M 'P 1 2/m 1'
_symmetry_Int_Tables_number 10
_symmetry_space_group_name_Hall '-P 2y'
_cell_length_a 6.736
_cell_length_b 4.453
_cell_length_c 7.630
_cell_angle_alpha 90.00
_cell_angle_beta 111.96
_cell_angle_gamma 90.00
loop_
_atom_site_label
_atom_site_type_symbol
_atom_site_fract_x
_atom_site_fract_y
_atom_site_fract_z
Li1 Li 0.000 0.000 0.000
Ac1 Ac 0.500 0.000 0.500
Ac2 Ac 0.500 0.500 0.000
Sn1 Sn 0.000 0.500 0.500
S1 S 0.238 0.000 0.760
S2 S 0.246 0.500 0.241
```